1.
For Er4B3SbRh12, the GGA-PBE geometry in Alexandria gives the theoretical powder X-ray diffraction pattern in this record (Cu Kα, 1.54184 Å).
No peak broadening, texture or thermal motion is included.

Crystal structure
```
Er4B3SbRh12
1.0
-4.3424 4.3424 4.3424
4.3424 -4.3424 4.3424
4.3424 4.3424 -4.3424
Er B Sb Rh
4 3 1 12
direct
0.0000 0.0000 0.5000 Er
0.0000 0.5000 0.0000 Er
0.5000 0.0000 0.0000 Er
0.5000 0.5000 0.5000 Er
0.0000 0.5000 0.5000 B
0.5000 0.0000 0.5000 B
0.5000 0.5000 0.0000 B
0.0000 0.0000 0.0000 Sb
0.0000 0.2769 0.2769 Rh
0.0000 0.7231 0.7231 Rh
0.2500 0.5000 0.7500 Rh
0.2500 0.7500 0.5000 Rh
0.2769 0.0000 0.2769 Rh
0.2769 0.2769 0.0000 Rh
0.5000 0.2500 0.7500 Rh
0.5000 0.7500 0.2500 Rh
0.7231 0.0000 0.7231 Rh
0.7231 0.7231 0.0000 Rh
0.7500 0.2500 0.5000 Rh
0.7500 0.5000 0.2500 Rh
```

Top 8 peaks for 10° ≤ 2θ ≤ 90°, by intensity:
2θ 35.8, I 100; 2θ 41.6, I 66; 2θ 60.3, I 42; 2θ 72.1, I 34; 2θ 29.1, I 14; 2θ 75.9, I 13; 2θ 38.8, I 6; 2θ 51.6, I 5



2.
For PmPrSiRh, the GGA-PBE geometry in Alexandria gives the theoretical powder X-ray diffraction pattern in this record (Cu Kα, 1.54184 Å).
No peak broadening, texture or thermal motion is included.

Crystal structure
```
PmPrSiRh
1.0
4.1497 0.0000 0.0000
0.0000 4.3312 0.0000
0.0000 0.0000 10.6722
Pm Pr Si Rh
2 2 2 2
direct
0.0000 0.0000 0.0000 Pm
0.0000 0.5000 0.5000 Pm
0.5000 0.0000 0.7174 Pr
0.5000 0.5000 0.2174 Pr
0.0000 0.0000 0.2981 Si
0.0000 0.5000 0.7981 Si
0.5000 0.0000 0.4338 Rh
0.5000 0.5000 0.9338 Rh
```

Top 8 peaks for 10° ≤ 2θ ≤ 90°, by intensity:
2θ 31.0, I 100; 2θ 32.6, I 45; 2θ 39.3, I 43; 2θ 27.2, I 27; 2θ 41.7, I 23; 2θ 33.6, I 22; 2θ 43.6, I 20; 2θ 55.5, I 20



3.
For Er2BSbRh6, the GGA-PBE geometry in Alexandria gives the theoretical powder X-ray diffraction pattern in this record (Cu Kα, 1.54184 Å).
No peak broadening, texture or thermal motion is included.

Crystal structure
```
Er2BSbRh6
1.0
5.6752 0.0000 0.0000
2.6768 5.0050 0.0000
2.4571 1.4482 6.1777
Er B Sb Rh
2 1 1 6
direct
0.2410 0.2387 0.2107 Er
0.7590 0.7613 0.7893 Er
0.5000 0.5000 0.5000 B
0.0000 0.0000 0.0000 Sb
0.1680 0.6927 0.3567 Rh
0.2827 0.2859 0.7417 Rh
0.3072 0.8341 0.6417 Rh
0.6928 0.1659 0.3583 Rh
0.7173 0.7141 0.2583 Rh
0.8320 0.3073 0.6433 Rh
```

Top 8 peaks for 10° ≤ 2θ ≤ 90°, by intensity:
2θ 36.9, I 100; 2θ 41.5, I 79; 2θ 41.6, I 77; 2θ 37.0, I 74; 2θ 42.1, I 63; 2θ 39.8, I 61; 2θ 34.0, I 57; 2θ 28.9, I 48



4.
For V2N, the GGA-PBE geometry in Alexandria gives the theoretical powder X-ray diffraction pattern in this record (Cu Kα, 1.54184 Å).
No peak broadening, texture or thermal motion is included.

Crystal structure
```
V2N
1.0
4.9135 0.0000 0.0000
-2.4568 4.2552 0.0000
0.0000 0.0000 4.5431
V N
6 3
direct
0.0000 0.3360 0.2465 V
0.0000 0.6640 0.7535 V
0.3360 0.0000 0.2465 V
0.3360 0.3360 0.7535 V
0.6640 0.0000 0.7535 V
0.6640 0.6640 0.2465 V
0.0000 0.0000 0.0000 N
0.3333 0.6667 0.5000 N
0.6667 0.3333 0.5000 N
```

Top 8 peaks for 10° ≤ 2θ ≤ 90°, by intensity:
2θ 41.8, I 100; 2θ 55.1, I 21; 2θ 39.7, I 20; 2θ 65.8, I 18; 2θ 73.5, I 16; 2θ 36.6, I 13; 2θ 79.7, I 13; 2θ 81.1, I 12



What did the first record say?
For Er4B3SbRh12, the GGA-PBE geometry in Alexandria gives the theoretical powder X-ray diffraction pattern in this record (Cu Kα, 1.54184 Å).
No peak broadening, texture or thermal motion is included.

Crystal structure
```
Er4B3SbRh12
1.0
-4.3424 4.3424 4.3424
4.3424 -4.3424 4.3424
4.3424 4.3424 -4.3424
Er B Sb Rh
4 3 1 12
direct
0.0000 0.0000 0.5000 Er
0.0000 0.5000 0.0000 Er
0.5000 0.0000 0.0000 Er
0.5000 0.5000 0.5000 Er
0.0000 0.5000 0.5000 B
0.5000 0.0000 0.5000 B
0.5000 0.5000 0.0000 B
0.0000 0.0000 0.0000 Sb
0.0000 0.2769 0.2769 Rh
0.0000 0.7231 0.7231 Rh
0.2500 0.5000 0.7500 Rh
0.2500 0.7500 0.5000 Rh
0.2769 0.0000 0.2769 Rh
0.2769 0.2769 0.0000 Rh
0.5000 0.2500 0.7500 Rh
0.5000 0.7500 0.2500 Rh
0.7231 0.0000 0.7231 Rh
0.7231 0.7231 0.0000 Rh
0.7500 0.2500 0.5000 Rh
0.7500 0.5000 0.2500 Rh
```

Top 8 peaks for 10° ≤ 2θ ≤ 90°, by intensity:
2θ 35.8, I 100; 2θ 41.6, I 66; 2θ 60.3, I 42; 2θ 72.1, I 34; 2θ 29.1, I 14; 2θ 75.9, I 13; 2θ 38.8, I 6; 2θ 51.6, I 5